Simulated XRD peak list
Compound: ZnCo2RuO6
Radiation: Cu Kα
Structure: a structure optimized by DFT (GGA+U)
Kinematic intensities with the Lorentz-polarization factor, no thermal factor.

Most intense lines, 15° ≤ 2θ ≤ 90°, sorted by position:
- 2θ 23.97, 3.713 Å, I = 426, hkl 0 1 2
- 2θ 33.06, 2.710 Å, I = 1000, hkl 1 0 4
- 2θ 35.21, 2.549 Å, I = 903, hkl 1 1 0
- 2θ 40.51, 2.227 Å, I = 143, hkl 1 1 3
- 2θ 49.07, 1.857 Å, I = 378, hkl 0 2 4
- 2θ 53.84, 1.703 Å, I = 561, hkl 2 -1 6
- 2θ 61.82, 1.501 Å, I = 347, hkl 3 -1 4
- 2θ 63.19, 1.472 Å, I = 327, hkl 3 0 0
- 2θ 72.04, 1.311 Å, I = 137, hkl 1 0 10
- 2θ 87.65, 1.113 Å, I = 123, hkl 4 -2 6

```
data_ZnCo2RuO6
_chemical_formula_sum 'Zn3 Co6 Ru3 O18'
_space_group_name_H-M_alt 'R 3'
_space_group_IT_number 146
_space_group_name_Hall 'R 3'
_cell_length_a 5.0977
_cell_length_b 5.0977
_cell_length_c 13.7280
_cell_angle_alpha 90.00
_cell_angle_beta 90.00
_cell_angle_gamma 120.00
loop_
_atom_site_label
_atom_site_type_symbol
_atom_site_fract_x
_atom_site_fract_y
_atom_site_fract_z
Zn1 Zn 0.0000 0.0000 0.0000
Co1 Co 0.0000 0.0000 0.2136
Co2 Co 0.0000 0.0000 0.7051
Ru1 Ru 0.0000 0.0000 0.5076
O1 O 0.0073 0.3340 0.7764
O2 O 0.0482 0.6713 0.2782
```